For LiSi, a GGA-PBE-relaxed structure gives the theoretical X-ray powder pattern in this record (Cu Kα, 1.54184 Å).
Kinematic intensities with the Lorentz-polarization factor, no thermal factor.

Largest 10 diffraction maxima, in order of rising 2θ, 2θ = 15–90°:
2θ = 17.42°, intensity 100
2θ = 22.81°, intensity 70
2θ = 29.48°, intensity 20
2θ = 33.90°, intensity 19
2θ = 34.45°, intensity 40
2θ = 39.58°, intensity 28
2θ = 41.02°, intensity 31
2θ = 42.87°, intensity 28
2θ = 46.17°, intensity 47
2θ = 46.60°, intensity 51

Atomic structure:
a b c (Å): 8.127 8.127 8.127
angles (deg): 102.43 102.43 124.73
Fractional positions:
Li (0.041, 0.688, 0.977)
Li (0.188, 0.711, 0.647)
Li (0.211, 0.064, 0.523)
Li (0.436, 0.459, 0.147)
Li (0.564, 0.541, 0.853)
Li (0.789, 0.936, 0.477)
Li (0.812, 0.289, 0.353)
Li (0.959, 0.312, 0.023)
Si (0.101, 0.694, 0.312)
Si (0.118, 0.210, 0.812)
Si (0.194, 0.382, 0.593)
Si (0.290, 0.601, 0.907)
Si (0.710, 0.399, 0.093)
Si (0.806, 0.618, 0.407)
Si (0.882, 0.790, 0.188)
Si (0.899, 0.306, 0.688)

---

For TbSnAu2, a GGA-PBE-relaxed structure gives the theoretical X-ray powder pattern in this record (Cu Kα, 1.54184 Å).
Kinematic intensities with the Lorentz-polarization factor, no thermal factor.

Largest 10 diffraction maxima, in order of rising 2θ, 2θ = 15–90°:
2θ = 21.78°, intensity 1
2θ = 25.20°, intensity 4
2θ = 35.94°, intensity 100
2θ = 44.40°, intensity 1
2θ = 51.73°, intensity 18
2θ = 58.39°, intensity 2
2θ = 64.60°, intensity 37
2θ = 76.19°, intensity 12
2θ = 81.75°, intensity 1
2θ = 87.23°, intensity 17

Atomic structure:
a b c (Å): 4.998 4.998 4.998
angles (deg): 60.00 60.00 60.00
Fractional positions:
Tb (0.000, 0.000, 0.000)
Sn (0.500, 0.500, 0.500)
Au (0.250, 0.250, 0.250)
Au (0.750, 0.750, 0.750)